For Pm7AsS5, a GGA-PBE-relaxed structure gives the simulated powder diffractogram in this record (Cu Kα X-rays).
Kinematic intensities with the Lorentz-polarization factor, no thermal factor.

Main lines, in order of rising 2θ (2θ = 10–90°):
- d 3.278, 27.2 deg, I 25
- d 3.237, 27.6 deg, I 51
- d 3.040, 29.4 deg, I 100
- d 3.000, 29.8 deg, I 24
- d 2.885, 31.0 deg, I 98
- d 2.785, 32.1 deg, I 58
- d 2.728, 32.8 deg, I 29
- d 2.189, 41.2 deg, I 25
- d 2.034, 44.6 deg, I 25
- d 2.009, 45.1 deg, I 63
- d 1.712, 53.5 deg, I 28
- d 1.677, 54.7 deg, I 35

Crystal structure
a b c (Å): 13.2369 4.0213 23.9564
angles (deg): 90.00 90.03 90.00
Space group Cm (No. 8)
One atom of each set of equivalent atoms:
Pm  0.0000  0.0000  0.0000
Pm  0.9999  0.0000  0.1450
Pm  0.0520  0.5000  0.2848
Pm  0.0516  0.5000  0.8603
Pm  0.0999  0.0000  0.7094
Pm  0.1009  0.0000  0.4354
Pm  0.1604  0.5000  0.5725
Pm  0.2188  0.5000  0.0725
Pm  0.2787  0.0000  0.2097
Pm  0.2787  0.0000  0.9354
Pm  0.3270  0.5000  0.7848
Pm  0.3277  0.5000  0.3604
Pm  0.3788  0.0000  0.6450
Pm  0.3796  0.0000  0.5001
As  0.3813  0.0000  0.0723
As  0.4979  0.5000  0.5730
S  0.1384  0.5000  0.1791
S  0.1384  0.5000  0.9659
S  0.1893  0.0000  0.8225
S  0.1898  0.0000  0.3226
S  0.2403  0.5000  0.6791
S  0.2411  0.5000  0.4660
S  0.4132  0.5000  0.2514
S  0.4130  0.5000  0.8936
S  0.4664  0.0000  0.3937
S  0.4657  0.0000  0.7514

For PmAsS, a GGA-PBE-relaxed structure gives the simulated powder diffractogram in this record (Cu Kα X-rays).
Kinematic intensities with the Lorentz-polarization factor, no thermal factor.

Main lines, in order of rising 2θ (2θ = 10–90°):
- d 3.811, 23.3 deg, I 50
- d 3.248, 27.5 deg, I 63
- d 2.927, 30.5 deg, I 48
- d 2.761, 32.4 deg, I 20
- d 2.634, 34.0 deg, I 65
- d 2.337, 38.5 deg, I 100
- d 2.111, 42.8 deg, I 44
- d 1.952, 46.5 deg, I 45
- d 1.624, 56.7 deg, I 32
- d 1.482, 62.7 deg, I 22
- d 1.433, 65.1 deg, I 25
- d 1.189, 80.9 deg, I 23

Crystal structure
a b c (Å): 3.9045 3.9045 17.5628
angles (deg): 90.00 90.00 90.00
Space group I4/mmm (No. 139)
One atom of each set of equivalent atoms:
Pm  0.0000  0.0000  0.1460
As  0.0000  0.5000  0.0000
S  0.0000  0.0000  0.3129